[1]
Theoretical X-ray diffraction stick pattern of LiV2O5 for λ = 1.5418 Å (Cu Kα), from a crystal structure in the Materials Project, relaxed with PBE+U.

Most intense lines, 2θ from 10° to 80°, in order of rising 2θ:
18.26 deg, 4.859 Å, intensity 100
19.86 deg, 4.470 Å, intensity 20
25.64 deg, 3.475 Å, intensity 38
26.09 deg, 3.416 Å, intensity 15
27.25 deg, 3.272 Å, intensity 19
29.85 deg, 2.993 Å, intensity 34
30.64 deg, 2.918 Å, intensity 22
31.39 deg, 2.850 Å, intensity 27
34.07 deg, 2.632 Å, intensity 15
50.93 deg, 1.793 Å, intensity 24

Structural model:
Lattice parameters (Å, degrees): 9.7179 11.3987 3.6486 90.00 90.00 90.00
Atoms (fractional coordinates):
Li 0.1035 0.2500 0.1230
Li 0.3965 0.7500 0.6230
Li 0.6035 0.2500 0.3770
Li 0.8965 0.7500 0.8770
V 0.1971 0.6000 0.1509
V 0.1971 0.9000 0.1509
V 0.3029 0.1000 0.6509
V 0.3029 0.4000 0.6509
V 0.6971 0.6000 0.3491
V 0.6971 0.9000 0.3491
V 0.8029 0.1000 0.8491
V 0.8029 0.4000 0.8491
O 0.0298 0.6229 0.1459
O 0.0298 0.8771 0.1459
O 0.2284 0.2500 0.6447
O 0.2438 0.0718 0.1526
O 0.2438 0.4282 0.1526
O 0.2562 0.5718 0.6526
O 0.2562 0.9282 0.6526
O 0.2716 0.7500 0.1447
O 0.4702 0.1229 0.6459
O 0.4702 0.3771 0.6459
O 0.5298 0.6229 0.3541
O 0.5298 0.8771 0.3541
O 0.7284 0.2500 0.8553
O 0.7438 0.0718 0.3474
O 0.7438 0.4282 0.3474
O 0.7562 0.5718 0.8474
O 0.7562 0.9282 0.8474
O 0.7716 0.7500 0.3553
O 0.9702 0.1229 0.8541
O 0.9702 0.3771 0.8541


[2]
Theoretical X-ray diffraction stick pattern of Li8VO6 for λ = 1.5418 Å (Cu Kα), from a crystal structure in the Materials Project, relaxed with PBE+U.

Most intense lines, 2θ from 10° to 80°, in order of rising 2θ:
17.66 deg, 5.021 Å, intensity 38
19.70 deg, 4.506 Å, intensity 92
22.22 deg, 4.001 Å, intensity 75
30.36 deg, 2.944 Å, intensity 17
35.34 deg, 2.540 Å, intensity 15
37.54 deg, 2.396 Å, intensity 100
49.35 deg, 1.847 Å, intensity 69
58.66 deg, 1.574 Å, intensity 41
65.43 deg, 1.426 Å, intensity 19
71.76 deg, 1.315 Å, intensity 11

Structural model:
Lattice parameters (Å, degrees): 5.9264 5.9264 5.9264 54.77 54.77 54.77
Atoms (fractional coordinates):
Li 0.0082 0.4011 0.7355
Li 0.1584 0.1584 0.1584
Li 0.2645 0.9918 0.5989
Li 0.4011 0.7355 0.0082
Li 0.5989 0.2645 0.9918
Li 0.7355 0.0082 0.4011
Li 0.8416 0.8416 0.8416
Li 0.9918 0.5989 0.2645
V 0.5000 0.5000 0.5000
O 0.1247 0.7338 0.4051
O 0.2662 0.5949 0.8753
O 0.4051 0.1247 0.7338
O 0.5949 0.8753 0.2662
O 0.7338 0.4051 0.1247
O 0.8753 0.2662 0.5949


[3]
Theoretical X-ray diffraction stick pattern of Li3V3O8 for λ = 1.5418 Å (Cu Kα), from a crystal structure in the Materials Project, relaxed with PBE+U.

Most intense lines, 2θ from 10° to 80°, in order of rising 2θ:
18.38 deg, 4.827 Å, intensity 98
21.16 deg, 4.198 Å, intensity 44
21.37 deg, 4.158 Å, intensity 74
30.21 deg, 2.958 Å, intensity 72
35.44 deg, 2.533 Å, intensity 100
35.76 deg, 2.511 Å, intensity 48
43.09 deg, 2.099 Å, intensity 44
43.53 deg, 2.079 Å, intensity 18
57.08 deg, 1.614 Å, intensity 33
62.92 deg, 1.477 Å, intensity 53

Structural model:
Lattice parameters (Å, degrees): 5.9090 5.9090 5.9090 119.86 119.50 90.55
Atoms (fractional coordinates):
Li 0.0000 0.0000 0.0000
Li 0.6312 0.3803 0.7491
Li 0.6312 0.8821 0.2509
V 0.0882 0.3546 0.7336
V 0.2531 0.7531 0.5000
V 0.6210 0.3546 0.2664
O 0.3642 0.6309 0.7333
O 0.3767 0.1317 0.7551
O 0.3767 0.6216 0.2449
O 0.4046 0.1499 0.2547
O 0.8778 0.1588 0.2809
O 0.8778 0.5969 0.7191
O 0.8952 0.1499 0.7453
O 0.8976 0.6309 0.2667